Record 1
Structure and calculated powder XRD pattern of La3SmCr2Fe2O12 (a structure optimized by DFT (GGA+U); copper Kα).

Crystal structure
```
La3SmCr2Fe2O12
1.0
3.9320 0.0000 0.0000
0.0000 7.8645 0.0000
0.0000 0.0000 7.8654
La Sm Cr Fe O
3 1 2 2 12
Direct
0.0000 0.0000 0.0000
0.0000 0.0000 0.4976
0.0000 0.5000 0.4976
0.0000 0.5000 0.0001
0.5000 0.2505 0.2484
0.5000 0.7495 0.2484
0.5000 0.2507 0.7495
0.5000 0.7493 0.7495
0.0000 0.2514 0.7503
0.0000 0.2517 0.2471
0.0000 0.7483 0.2471
0.0000 0.7486 0.7503
0.5000 0.0000 0.2486
0.5000 0.0000 0.7490
0.5000 0.2502 0.4976
0.5000 0.2529 0.9999
0.5000 0.5000 0.2456
0.5000 0.5000 0.7515
0.5000 0.7471 0.9999
0.5000 0.7498 0.4976
```

The 12 most intense peaks (2θ from 10° to 90°), low angle first:
- d = 3.932 Å, I 15
- d = 2.781 Å, I 100
- d = 2.270 Å, I 20
- d = 1.966 Å, I 33
- d = 1.759 Å, I 8
- d = 1.605 Å, I 38
- d = 1.390 Å, I 19
- d = 1.311 Å, I 4
- d = 1.244 Å, I 16
- d = 1.186 Å, I 7
- d = 1.135 Å, I 6
- d = 1.091 Å, I 2

=====

Record 2
Structure and calculated powder XRD pattern of NaCaMgFeSi4O12 (a structure optimized by DFT (GGA+U); copper Kα).

Crystal structure
```
NaCaMgFeSi4O12
1.0
4.9198 -4.4882 0.0000
4.9198 4.4882 0.0000
-1.5545 0.0000 5.1080
Na Ca Mg Fe Si O
1 1 1 1 4 12
Direct
0.0000 0.0000 0.0000
0.3998 0.6002 0.5000
0.6078 0.3922 0.0000
0.8021 0.1979 0.5000
0.0800 0.4951 0.9790
0.3210 0.1016 0.5152
0.5049 0.9200 0.0210
0.8984 0.6790 0.4848
0.0371 0.6579 0.2547
0.0695 0.6362 0.7510
0.0869 0.1907 0.4414
0.3129 0.4118 0.0659
0.3421 0.9629 0.7453
0.3638 0.9305 0.2490
0.5013 0.2683 0.6014
0.5882 0.6871 0.9341
0.6683 0.1032 0.1193
0.7317 0.4987 0.3986
0.8093 0.9131 0.5586
0.8968 0.3317 0.8807
```

The 12 most intense peaks (2θ from 10° to 90°), low angle first:
- d = 4.484 Å, I 22
- d = 3.248 Å, I 17
- d = 3.030 Å, I 100
- d = 2.962 Å, I 37
- d = 2.589 Å, I 25
- d = 2.554 Å, I 39
- d = 2.521 Å, I 40
- d = 2.155 Å, I 19
- d = 2.054 Å, I 23
- d = 1.651 Å, I 17
- d = 1.640 Å, I 17
- d = 1.425 Å, I 29

=====

Record 3
Structure and calculated powder XRD pattern of Co5Te3O16 (a structure optimized by DFT (GGA+U); copper Kα).

Crystal structure
```
Co5Te3O16
1.0
5.1507 -2.9879 0.0000
5.1507 2.9879 0.0000
-0.1388 0.0000 8.9536
Co Te O
5 3 16
Direct
0.0000 0.0000 0.0000
0.3393 0.8309 0.5108
0.5184 0.5184 0.7687
0.8309 0.3393 0.5108
0.8529 0.8529 0.3028
0.3339 0.3339 0.5076
0.5040 0.9983 0.0069
0.9983 0.5040 0.0069
0.0043 0.4967 0.4023
0.0065 0.0065 0.4070
0.1266 0.6775 0.1303
0.1684 0.1684 0.6150
0.1752 0.1752 0.1205
0.2253 0.6516 0.6403
0.3336 0.3336 0.8918
0.3451 0.8394 0.8939
0.4967 0.0043 0.4023
0.5028 0.5028 0.3998
0.6476 0.6476 0.6278
0.6516 0.2253 0.6403
0.6775 0.1266 0.1303
0.6824 0.6824 0.1350
0.8232 0.8232 0.8813
0.8394 0.3451 0.8939
```

The 12 most intense peaks (2θ from 10° to 90°), low angle first:
- d = 4.484 Å, I 100
- d = 4.462 Å, I 13
- d = 3.400 Å, I 14
- d = 2.576 Å, I 12
- d = 2.490 Å, I 26
- d = 2.485 Å, I 16
- d = 2.478 Å, I 19
- d = 2.464 Å, I 19
- d = 2.246 Å, I 11
- d = 1.962 Å, I 23
- d = 1.946 Å, I 11
- d = 1.488 Å, I 15

=====

Record 4
Structure and calculated powder XRD pattern of V2Zn3Si4O14 (a structure optimized by DFT (GGA+U); copper Kα).

Crystal structure
```
V2Zn3Si4O14
1.0
8.2484 -3.8817 0.0000
8.2484 3.8817 0.0000
-5.2433 0.0000 8.3505
V Zn Si O
4 6 8 28
Direct
0.0000 0.0000 0.0000
0.0000 0.0000 0.5000
0.1993 0.8007 0.7500
0.8007 0.1993 0.2500
0.0643 0.2812 0.9046
0.2812 0.0643 0.4046
0.3946 0.6054 0.2500
0.6054 0.3946 0.7500
0.7188 0.9357 0.5954
0.9357 0.7188 0.0954
0.1077 0.5270 0.7906
0.2338 0.5237 0.3993
0.4730 0.8923 0.7094
0.4763 0.7662 0.1007
0.5237 0.2338 0.8993
0.5270 0.1077 0.2906
0.7662 0.4763 0.6007
0.8923 0.4730 0.2094
0.0450 0.1202 0.4179
0.0529 0.5067 0.3739
0.0634 0.7428 0.8245
0.0990 0.4926 0.9343
0.1202 0.0450 0.9179
0.1577 0.7072 0.3341
0.2572 0.9366 0.6755
0.2928 0.8423 0.1659
0.3318 0.3588 0.7671
0.3557 0.5393 0.5870
0.3588 0.3318 0.2671
0.4607 0.6443 0.9130
0.4926 0.0990 0.4343
0.4933 0.9471 0.1261
0.5067 0.0529 0.8739
0.5074 0.9010 0.5657
0.5393 0.3557 0.0870
0.6412 0.6682 0.7329
0.6443 0.4607 0.4130
0.6682 0.6412 0.2329
0.7072 0.1577 0.8341
0.7428 0.0634 0.3245
0.8423 0.2928 0.6659
0.8798 0.9550 0.0821
0.9010 0.5074 0.0657
0.9366 0.2572 0.1755
0.9471 0.4933 0.6261
0.9550 0.8798 0.5821
```

The 12 most intense peaks (2θ from 10° to 90°), low angle first:
- d = 3.206 Å, I 92
- d = 3.019 Å, I 28
- d = 3.003 Å, I 79
- d = 2.894 Å, I 100
- d = 2.815 Å, I 21
- d = 2.353 Å, I 29
- d = 2.329 Å, I 22
- d = 2.273 Å, I 23
- d = 2.262 Å, I 24
- d = 2.153 Å, I 29
- d = 2.031 Å, I 22
- d = 1.473 Å, I 27

=====

Record 5
Structure and calculated powder XRD pattern of NaCoO2 (a structure optimized by DFT (GGA+U); copper Kα).

Crystal structure
```
NaCoO2
1.0
2.9199 0.0000 0.0000
-1.4599 2.5287 0.0000
0.0000 0.0000 15.7495
Na Co O
3 3 6
Direct
0.0000 0.0000 0.0000
0.3333 0.6667 0.6667
0.6667 0.3333 0.3333
0.0000 0.0000 0.5000
0.3333 0.6667 0.1667
0.6667 0.3333 0.8333
0.0000 0.0000 0.2299
0.0000 0.0000 0.7701
0.3333 0.6667 0.4367
0.3333 0.6667 0.8966
0.6667 0.3333 0.1034
0.6667 0.3333 0.5633
```

The 12 most intense peaks (2θ from 10° to 90°), low angle first:
- d = 5.250 Å, I 75
- d = 2.625 Å, I 19
- d = 2.497 Å, I 14
- d = 2.408 Å, I 34
- d = 2.128 Å, I 100
- d = 1.681 Å, I 13
- d = 1.553 Å, I 27
- d = 1.460 Å, I 27
- d = 1.407 Å, I 8
- d = 1.337 Å, I 9
- d = 1.276 Å, I 11
- d = 1.204 Å, I 12